[1]
The following is a simulated powder diffractogram of NiSnTe. It was derived from a crystal structure in Alexandria, relaxed with GGA-PBE, using Cu Ka.

a b c (Å): 3.858 6.381 5.378
angles (deg): 90.00 90.00 90.00
Fractional positions:
Ni1 0.000 0.241 0.000
Ni2 0.500 0.759 0.500
Sn1 0.000 0.602 0.777
Sn2 0.500 0.398 0.277
Te1 0.000 0.884 0.217
Te2 0.500 0.116 0.717

Most intense lines, 10 to 80 degrees two-theta, in order of falling intensity:
(1 1 1), 31.80°, I 100; (0 2 1), 32.63°, I 74; (1 1 2), 43.40°, I 53; (1 3 0), 48.90°, I 34; (2 2 1), 58.49°, I 28; (1 0 1), 28.47°, I 24; (2 0 0), 47.11°, I 23; (1 1 0), 27.01°, I 17; (0 0 2), 33.32°, I 17; (1 1 3), 58.60°, I 13

***

[2]
The following is a simulated powder diffractogram of Sr2LiZn4Pt3. It was derived from a crystal structure in Alexandria, relaxed with GGA-PBE, using Cu Ka.

a b c (Å): 4.360 4.360 10.682
angles (deg): 90.00 90.00 90.00
Fractional positions:
Sr1 0.000 0.500 0.244
Sr2 0.500 0.000 0.756
Li1 0.000 0.000 0.500
Zn1 0.000 0.000 0.000
Zn2 0.000 0.500 0.628
Zn3 0.500 0.000 0.372
Zn4 0.500 0.500 0.000
Pt1 0.000 0.500 0.866
Pt2 0.500 0.000 0.134
Pt3 0.500 0.500 0.500

Most intense lines, 10 to 80 degrees two-theta, in order of falling intensity:
(1 1 2), 33.56°, I 100; (2 0 0), 41.41°, I 96; (1 0 3), 32.46°, I 95; (1 0 1), 22.02°, I 71; (1 0 5), 47.39°, I 69; (1 1 4), 44.90°, I 67; (1 0 2), 26.39°, I 49; (2 1 3), 53.58°, I 46; (2 1 5), 64.72°, I 45; (2 2 0), 60.01°, I 40